Diffraction record for Tb2Mg5Ag. The powder diffractogram is theoretical, not measured: it uses a DFT-relaxed cell (PBE, the Materials Project) and Cu Kα X-rays.

Largest 8 diffraction maxima, in order of rising 2θ, 10° ≤ 2θ ≤ 90°:
2θ (°)  Rel. int.
21.4  46
24.8  98
35.2  100
35.4  98
43.5  22
50.8  35
57.2  20
63.3  53

Atomic structure:
```
data_Tb2Mg5Ag
_chemical_formula_sum 'Tb6 Mg15 Ag3'
_space_group_name_H-M_alt 'R -3 m'
_space_group_IT_number 166
_space_group_name_Hall '-R 3 2"'
_cell_length_a 5.0933
_cell_length_b 5.0933
_cell_length_c 24.8363
_cell_angle_alpha 90.00
_cell_angle_beta 90.00
_cell_angle_gamma 120.00
loop_
_atom_site_label
_atom_site_fract_x
_atom_site_fract_y
_atom_site_fract_z
Tb1 0.0000 0.0000 0.2481
Mg1 0.0000 0.0000 0.1223
Mg2 0.0000 0.0000 0.3725
Mg3 0.0000 0.0000 0.5000
Ag1 0.0000 0.0000 0.0000
```

=====

Diffraction record for MnAgN. The powder diffractogram is theoretical, not measured: it uses a DFT-relaxed cell (PBE, the Materials Project) and Cu Kα X-rays.

Largest 8 diffraction maxima, in order of rising 2θ, 10° ≤ 2θ ≤ 90°:
2θ (°)  Rel. int.
29.1  100
34.1  86
35.4  42
35.9  49
38.7  85
39.4  45
42.6  49
43.7  93

Atomic structure:
```
data_MnAgN
_chemical_formula_sum 'Mn8 Ag8 N8'
_space_group_name_H-M_alt 'C 1 2/m 1'
_space_group_IT_number 12
_cell_length_a 12.0482
_cell_length_b 3.3505
_cell_length_c 8.6768
_cell_angle_alpha 90.00
_cell_angle_beta 101.72
_cell_angle_gamma 90.00
loop_
_space_group_symop_operation_xyz
'x,y,z'
'-x,-y,-z'
'-x,y,-z'
'x,-y,z'
'x+1/2,y+1/2,z'
'-x+1/2,-y+1/2,-z'
'-x+1/2,y+1/2,-z'
'x+1/2,-y+1/2,z'
loop_
_atom_site_label
_atom_site_fract_x
_atom_site_fract_y
_atom_site_fract_z
Mn1 0.0585 0.0000 0.3977
Mn2 0.2334 0.0000 0.6000
Ag1 0.0768 0.5000 0.1387
Ag2 0.1576 0.0000 0.9074
N1 0.0946 0.0000 0.6268
N2 0.2075 0.0000 0.3666
```

=====

Diffraction record for MnAgN. The powder diffractogram is theoretical, not measured: it uses a DFT-relaxed cell (PBE, the Materials Project) and Cu Kα X-rays.

Largest 8 diffraction maxima, in order of rising 2θ, 10° ≤ 2θ ≤ 90°:
2θ (°)  Rel. int.
33.5  48
33.6  24
37.1  49
38.4  100
38.5  50
50.8  40
67.7  26
72.6  23

Atomic structure:
```
data_MnAgN
_chemical_formula_sum 'Mn2 Ag2 N2'
_space_group_name_H-M_alt 'A m m 2'
_space_group_IT_number 38
_cell_length_a 4.8473
_cell_length_b 3.0968
_cell_length_c 5.3383
_cell_angle_alpha 90.00
_cell_angle_beta 90.00
_cell_angle_gamma 90.00
loop_
_space_group_symop_operation_xyz
'x,y,z'
'-x,-y,z'
'-x,y,z'
'x,-y,z'
'x,y+1/2,z+1/2'
'-x,-y+1/2,z+1/2'
'-x,y+1/2,z+1/2'
'x,-y+1/2,z+1/2'
loop_
_atom_site_label
_atom_site_fract_x
_atom_site_fract_y
_atom_site_fract_z
Mn1 0.0000 0.0000 0.0000
Ag1 0.5000 0.0000 0.3332
N1 0.0000 0.0000 0.3339
```

=====

Diffraction record for MnSiAg2Se4. The powder diffractogram is theoretical, not measured: it uses a DFT-relaxed cell (PBE, the Materials Project) and Cu Kα X-rays.

Largest 8 diffraction maxima, in order of rising 2θ, 10° ≤ 2θ ≤ 90°:
2θ (°)  Rel. int.
24.3  44
25.3  100
25.8  72
27.6  40
28.4  69
43.4  77
46.7  41
47.2  76

Atomic structure:
```
data_MnSiAg2Se4
_chemical_formula_sum 'Mn2 Si2 Ag4 Se8'
_space_group_name_H-M_alt 'P m n 21'
_space_group_IT_number 31
_cell_length_a 8.0508
_cell_length_b 7.3156
_cell_length_c 6.8957
_cell_angle_alpha 90.00
_cell_angle_beta 90.00
_cell_angle_gamma 90.00
loop_
_space_group_symop_operation_xyz
'x,y,z'
'-x+1/2,-y,z+1/2'
'-x,y,z'
'x+1/2,-y,z+1/2'
loop_
_atom_site_label
_atom_site_fract_x
_atom_site_fract_y
_atom_site_fract_z
Mn1 0.0000 0.1437 0.0000
Si1 0.0000 0.8361 0.4973
Ag1 0.2486 0.6734 0.0176
Se1 0.0000 0.1260 0.3693
Se2 0.0000 0.8400 0.8323
Se3 0.2357 0.6772 0.3996
```